Computed powder X-ray diffraction pattern of K3Se2O8 for a wavelength of 1.5418 Å, from a crystal structure in the Materials Project, relaxed with PBE.

Peak list (8 most intense, 2θ = 15–90°, in order of rising 2θ)
2θ 15.56, I = 46
2θ 19.35, I = 84
2θ 22.96, I = 27
2θ 27.12, I = 100
2θ 27.86, I = 44
2θ 35.83, I = 19
2θ 39.27, I = 36
2θ 55.94, I = 18

Cell and atoms:
Cell: 6.5753 6.5753 7.7468 Å, 90.00 90.00 120.00°
Atoms (fractional coordinates):
K: 0.0000 0.0000 0.0000
K: 0.3333 0.6667 0.1918
K: 0.6667 0.3333 0.8082
Se: 0.3333 0.6667 0.7387
Se: 0.6667 0.3333 0.2613
O: 0.1962 0.3925 0.8190
O: 0.1962 0.8038 0.8190
O: 0.3333 0.6667 0.5249
O: 0.3925 0.1962 0.1810
O: 0.6075 0.8038 0.8190
O: 0.6667 0.3333 0.4751
O: 0.8038 0.1962 0.1810
O: 0.8038 0.6075 0.1810